Computed X-ray diffraction stick pattern
Compound: SmEr2Se3
Radiation: a wavelength of 1.5418 Å
Structure: a structure optimized by DFT (PBE)
Peak positions follow from Bragg's law for the DFT cell and can differ from measured ones.

abc: 4.058 4.058 10.052
angles: 90.00 90.00 120.00
Fractional positions:
Sm1 0.000 0.000 0.000
Er1 0.333 0.667 0.665
Er2 0.667 0.333 0.335
Se1 0.000 0.000 0.500
Se2 0.333 0.667 0.177
Se3 0.667 0.333 0.823

Principal peaks in the range 10 to 90 degrees two-theta, in order of falling intensity:
2theta  I (rel.)
31.05  100
44.31  37
44.66  37
55.39  19
73.79  17
73.28  16
26.88  16
82.07  12
64.74  12
82.31  7
54.80  6
81.32  6

=====

Computed X-ray diffraction stick pattern
Compound: AlZnGaTe2Se2
Radiation: a wavelength of 1.5418 Å
Structure: a structure optimized by DFT (PBE)
Peak positions follow from Bragg's law for the DFT cell and can differ from measured ones.

abc: 5.810 5.849 7.023
angles: 113.54 114.08 90.05
Fractional positions:
Al1 0.000 0.000 0.000
Zn1 0.501 0.461 0.001
Ga1 0.769 0.227 0.500
Te1 0.365 0.849 0.273
Te2 0.600 0.615 0.728
Se1 0.130 0.088 0.744
Se2 0.895 0.362 0.257

Principal peaks in the range 10 to 90 degrees two-theta, in order of falling intensity:
2theta  I (rel.)
26.40  100
26.84  42
26.70  41
43.94  38
52.20  26
43.65  20
44.12  19
44.42  18
44.59  17
17.09  15
51.65  13
52.33  12

=====

Computed X-ray diffraction stick pattern
Compound: MgZrMoW
Radiation: a wavelength of 1.5418 Å
Structure: a structure optimized by DFT (PBE)
Peak positions follow from Bragg's law for the DFT cell and can differ from measured ones.

abc: 6.589 6.589 6.589
angles: 90.00 90.00 90.00
Fractional positions:
Mg1 0.000 0.000 0.000
Mg2 0.000 0.500 0.500
Mg3 0.500 0.000 0.500
Mg4 0.500 0.500 0.000
Zr1 0.250 0.250 0.750
Zr2 0.250 0.750 0.250
Zr3 0.750 0.250 0.250
Zr4 0.750 0.750 0.750
Mo1 0.000 0.000 0.500
Mo2 0.000 0.500 0.000
Mo3 0.500 0.000 0.000
Mo4 0.500 0.500 0.500
W1 0.250 0.250 0.250
W2 0.250 0.750 0.750
W3 0.750 0.250 0.750
W4 0.750 0.750 0.250

Principal peaks in the range 10 to 90 degrees two-theta, in order of falling intensity:
2theta  I (rel.)
38.65  100
69.95  34
23.39  20
27.07  18
55.81  17
82.89  11
45.67  10
63.11  7
47.82  5
61.33  4
87.62  4
89.18  4

=====

Computed X-ray diffraction stick pattern
Compound: BaNbNO
Radiation: a wavelength of 1.5418 Å
Structure: a structure optimized by DFT (PBE)
Peak positions follow from Bragg's law for the DFT cell and can differ from measured ones.

abc: 6.071 4.032 6.032
angles: 90.00 90.00 90.00
Fractional positions:
Ba1 0.250 0.000 0.233
Ba2 0.750 0.000 0.767
Nb1 0.250 0.500 0.709
Nb2 0.750 0.500 0.291
N1 0.000 0.500 0.500
N2 0.500 0.500 0.500
O1 0.250 0.000 0.780
O2 0.750 0.000 0.220

Principal peaks in the range 10 to 90 degrees two-theta, in order of falling intensity:
2theta  I (rel.)
30.46  100
29.42  34
29.62  29
42.24  27
52.85  21
53.08  16
63.40  15
44.97  13
54.65  13
54.77  10
73.94  9
69.96  7

=====

Computed X-ray diffraction stick pattern
Compound: TbDySn2Pt4
Radiation: a wavelength of 1.5418 Å
Structure: a structure optimized by DFT (PBE)
Peak positions follow from Bragg's law for the DFT cell and can differ from measured ones.

abc: 4.569 4.569 9.075
angles: 90.00 90.00 120.00
Fractional positions:
Tb1 0.000 0.000 0.000
Dy1 0.333 0.667 0.500
Sn1 0.667 0.333 0.251
Sn2 0.667 0.333 0.749
Pt1 0.000 0.000 0.340
Pt2 0.000 0.000 0.660
Pt3 0.333 0.667 0.161
Pt4 0.333 0.667 0.839

Principal peaks in the range 10 to 90 degrees two-theta, in order of falling intensity:
2theta  I (rel.)
37.42  100
39.44  88
55.49  32
70.20  32
22.47  19
71.53  16
66.14  13
29.96  12
84.88  10
75.36  10
79.82  8
46.12  7

=====

Computed X-ray diffraction stick pattern
Compound: Rb2SnPdCl6
Radiation: a wavelength of 1.5418 Å
Structure: a structure optimized by DFT (PBE)
Peak positions follow from Bragg's law for the DFT cell and can differ from measured ones.

abc: 7.331 7.331 7.331
angles: 60.00 60.00 60.00
Fractional positions:
Rb1 0.250 0.250 0.250
Rb2 0.750 0.750 0.750
Sn1 0.000 0.000 0.000
Pd1 0.500 0.500 0.500
Cl1 0.255 0.255 0.745
Cl2 0.255 0.745 0.255
Cl3 0.255 0.745 0.745
Cl4 0.745 0.255 0.255
Cl5 0.745 0.255 0.745
Cl6 0.745 0.745 0.255

Principal peaks in the range 10 to 90 degrees two-theta, in order of falling intensity:
2theta  I (rel.)
24.28  100
34.61  70
49.75  47
42.73  46
67.62  24
56.11  21
83.38  21
17.11  19
62.02  16
78.24  12
29.85  10
38.85  9